For Sr2Cu2I7, a structure optimized by DFT (PBE) gives the calculated XRD peak list in this record (Cu Kα (weighted mean of Kα1 and Kα2)).
Intensities are scaled so that the largest is 1000.

Main lines, in order of falling intensity (10° ≤ 2θ ≤ 90°):
| 2theta | Rel. int. |
| --- | --- |
| 24.1 | 1000 |
| 26.8 | 724 |
| 26.5 | 642 |
| 18.2 | 593 |
| 18.5 | 465 |
| 28.0 | 447 |
| 41.9 | 432 |
| 28.3 | 379 |
| 40.6 | 304 |
| 18.4 | 304 |
| 38.5 | 303 |
| 29.6 | 299 |

Lattice parameters (Å, degrees): 8.332 8.332 7.411 99.11 99.11 106.11
Element x y z (fractional)
Sr  0.207  0.793  0.000
Sr  0.793  0.207  0.000
Cu  0.261  0.261  0.580
Cu  0.739  0.739  0.420
I  0.060  0.398  0.749
I  0.140  0.140  0.226
I  0.398  0.060  0.749
I  0.500  0.500  0.500
I  0.602  0.940  0.251
I  0.860  0.860  0.774
I  0.940  0.602  0.251


For U6Tc2Os, a structure optimized by DFT (PBE) gives the calculated XRD peak list in this record (Cu Kα (weighted mean of Kα1 and Kα2)).
Intensities are scaled so that the largest is 1000.

Main lines, in order of falling intensity (10° ≤ 2θ ≤ 90°):
| 2theta | Rel. int. |
| --- | --- |
| 38.1 | 1000 |
| 39.1 | 595 |
| 50.7 | 331 |
| 69.6 | 228 |
| 55.8 | 216 |
| 32.1 | 191 |
| 80.0 | 187 |
| 68.9 | 184 |
| 81.6 | 120 |
| 21.8 | 108 |
| 78.1 | 102 |
| 67.2 | 49 |

Lattice parameters (Å, degrees): 8.174 8.174 2.786 90.00 90.00 59.94
Element x y z (fractional)
U  0.164  0.500  0.000
U  0.164  0.836  0.000
U  0.500  0.164  0.000
U  0.500  0.836  0.000
U  0.836  0.164  0.000
U  0.836  0.500  0.000
Tc  0.167  0.167  0.648
Tc  0.833  0.833  0.352
Os  0.500  0.500  0.500


For Pa2In2O7, a structure optimized by DFT (PBE) gives the calculated XRD peak list in this record (Cu Kα (weighted mean of Kα1 and Kα2)).
Intensities are scaled so that the largest is 1000.

Main lines, in order of falling intensity (10° ≤ 2θ ≤ 90°):
| 2theta | Rel. int. |
| --- | --- |
| 27.2 | 1000 |
| 53.6 | 469 |
| 45.2 | 459 |
| 31.5 | 382 |
| 72.7 | 190 |
| 74.9 | 164 |
| 89.8 | 155 |
| 13.5 | 147 |
| 83.5 | 136 |
| 56.2 | 122 |
| 26.0 | 110 |
| 65.9 | 71 |

Lattice parameters (Å, degrees): 8.023 8.023 8.023 60.00 60.00 60.00
Element x y z (fractional)
Pa  0.000  0.000  0.000
Pa  0.000  0.000  0.500
Pa  0.000  0.500  0.000
Pa  0.500  0.000  0.000
In  0.000  0.500  0.500
In  0.500  0.000  0.500
In  0.500  0.500  0.000
In  0.500  0.500  0.500
O  0.074  0.074  0.676
O  0.074  0.676  0.074
O  0.074  0.676  0.676
O  0.324  0.324  0.926
O  0.324  0.926  0.324
O  0.324  0.926  0.926
O  0.375  0.375  0.375
O  0.625  0.625  0.625
O  0.676  0.074  0.074
O  0.676  0.074  0.676
O  0.676  0.676  0.074
O  0.926  0.324  0.324
O  0.926  0.324  0.926
O  0.926  0.926  0.324